(1)
Calculated powder X-ray diffraction pattern
Compound: InPd9
Radiation: a wavelength of 1.5418 Å
Structure: the PBE geometry in OQMD
Lines closer than 0.1° are merged.

Main lines, by angle (2θ from 10° to 90°):
2θ = 38.72°, d = 2.326 Å, I = 76; 2θ = 39.71°, d = 2.270 Å, I = 100; 2θ = 40.69°, d = 2.217 Å, I = 46; 2θ = 44.47°, d = 2.037 Å, I = 51; 2θ = 46.24°, d = 1.963 Å, I = 31; 2θ = 47.81°, d = 1.902 Å, I = 34; 2θ = 66.08°, d = 1.414 Å, I = 22; 2θ = 67.34°, d = 1.391 Å, I = 29; 2θ = 68.70°, d = 1.366 Å, I = 19; 2θ = 79.32°, d = 1.208 Å, I = 18; 2θ = 79.91°, d = 1.200 Å, I = 23; 2θ = 85.57°, d = 1.135 Å, I = 20

Structural model:
Cell: 2.8273 3.8057 38.1918 Å, 90.00 90.00 90.00°
Element x y z (fractional)
In (0.2500, 0.2500, 0.1448)
In (0.7500, 0.7500, 0.8552)
Pd (0.2500, 0.2500, 0.2212)
Pd (0.2500, 0.2500, 0.2957)
Pd (0.2500, 0.2500, 0.3701)
Pd (0.2500, 0.2500, 0.4444)
Pd (0.2500, 0.2500, 0.5185)
Pd (0.2500, 0.2500, 0.5928)
Pd (0.2500, 0.2500, 0.6672)
Pd (0.2500, 0.2500, 0.7420)
Pd (0.2500, 0.2500, 0.8185)
Pd (0.7500, 0.7500, 0.1815)
Pd (0.7500, 0.7500, 0.2580)
Pd (0.7500, 0.7500, 0.3328)
Pd (0.7500, 0.7500, 0.4072)
Pd (0.7500, 0.7500, 0.4815)
Pd (0.7500, 0.7500, 0.5556)
Pd (0.7500, 0.7500, 0.6299)
Pd (0.7500, 0.7500, 0.7043)
Pd (0.7500, 0.7500, 0.7788)

(2)
Calculated powder X-ray diffraction pattern
Compound: InNi2SeS2
Radiation: a wavelength of 1.5418 Å
Structure: the PBE geometry in OQMD
Lines closer than 0.1° are merged.

Main lines, by angle (2θ from 10° to 90°):
2θ = 28.28°, d = 3.156 Å, I = 61; 2θ = 28.55°, d = 3.126 Å, I = 100; 2θ = 28.69°, d = 3.111 Å, I = 62; 2θ = 47.02°, d = 1.933 Å, I = 22; 2θ = 47.19°, d = 1.926 Å, I = 21; 2θ = 47.33°, d = 1.921 Å, I = 41; 2θ = 47.85°, d = 1.901 Å, I = 43; 2θ = 55.93°, d = 1.644 Å, I = 15; 2θ = 56.16°, d = 1.638 Å, I = 28; 2θ = 56.87°, d = 1.619 Å, I = 17; 2θ = 68.82°, d = 1.364 Å, I = 12; 2θ = 76.24°, d = 1.249 Å, I = 12

Structural model:
Cell: 6.6657 6.6657 6.5579 Å, 99.03 99.03 120.17°
Element x y z (fractional)
In (0.0922, 0.9078, 0.5000)
In (0.9078, 0.0922, 0.0000)
Ni (0.2580, 0.7672, 0.9807)
Ni (0.4087, 0.5948, 0.5033)
Ni (0.5948, 0.4087, 0.0033)
Ni (0.7672, 0.2580, 0.4807)
Se (0.3363, 0.5045, 0.1303)
Se (0.5045, 0.3363, 0.6303)
S (0.1257, 0.5850, 0.6343)
S (0.5850, 0.1257, 0.1343)
S (0.7513, 0.9521, 0.5885)
S (0.9521, 0.7513, 0.0885)

(3)
Calculated powder X-ray diffraction pattern
Compound: Mg2AgBi2Au
Radiation: a wavelength of 1.5418 Å
Structure: the PBE geometry in OQMD
Lines closer than 0.1° are merged.

Main lines, by angle (2θ from 10° to 90°):
2θ = 22.92°, d = 3.880 Å, I = 89; 2θ = 26.52°, d = 3.360 Å, I = 5; 2θ = 37.86°, d = 2.376 Å, I = 100; 2θ = 44.72°, d = 2.026 Å, I = 48; 2θ = 54.62°, d = 1.680 Å, I = 17; 2θ = 60.00°, d = 1.542 Å, I = 20; 2θ = 68.38°, d = 1.372 Å, I = 36; 2θ = 73.14°, d = 1.294 Å, I = 9; 2θ = 73.21°, d = 1.293 Å, I = 7; 2θ = 80.90°, d = 1.188 Å, I = 10; 2θ = 85.45°, d = 1.136 Å, I = 12; 2θ = 85.52°, d = 1.135 Å, I = 4

Structural model:
Cell: 8.2361 4.7514 15.7527 Å, 90.00 99.96 90.00°
Element x y z (fractional)
Mg (0.0000, 0.0000, 0.0000)
Mg (0.0125, 0.5000, 0.5019)
Mg (0.2593, 0.0000, 0.7537)
Mg (0.2723, 0.5000, 0.2574)
Mg (0.5089, 0.0000, 0.5018)
Mg (0.5231, 0.5000, 0.0087)
Mg (0.7518, 0.0000, 0.2544)
Mg (0.7652, 0.5000, 0.7595)
Ag (0.0729, 0.5000, 0.6912)
Ag (0.0735, 0.0000, 0.1920)
Ag (0.3238, 0.0000, 0.9433)
Ag (0.5748, 0.0000, 0.6912)
Bi (0.1352, 0.0000, 0.3777)
Bi (0.1407, 0.5000, 0.8799)
Bi (0.3829, 0.0000, 0.1290)
Bi (0.3879, 0.5000, 0.6310)
Bi (0.6319, 0.0000, 0.8785)
Bi (0.6378, 0.5000, 0.3802)
Bi (0.8861, 0.0000, 0.6301)
Bi (0.8915, 0.5000, 0.1319)
Au (0.3240, 0.5000, 0.4425)
Au (0.5754, 0.5000, 0.1925)
Au (0.8245, 0.0000, 0.4421)
Au (0.8245, 0.5000, 0.9431)

(4)
Calculated powder X-ray diffraction pattern
Compound: Cs2ZnSn3Se8
Radiation: a wavelength of 1.5418 Å
Structure: the PBE geometry in OQMD
Lines closer than 0.1° are merged.

Main lines, by angle (2θ from 10° to 90°):
2θ = 12.93°, d = 6.848 Å, I = 26; 2θ = 13.20°, d = 6.705 Å, I = 45; 2θ = 19.73°, d = 4.499 Å, I = 22; 2θ = 24.49°, d = 3.635 Å, I = 37; 2θ = 25.19°, d = 3.535 Å, I = 67; 2θ = 26.46°, d = 3.368 Å, I = 34; 2θ = 26.59°, d = 3.352 Å, I = 23; 2θ = 27.26°, d = 3.272 Å, I = 100; 2θ = 40.08°, d = 2.250 Å, I = 25; 2θ = 45.12°, d = 2.009 Å, I = 28; 2θ = 45.56°, d = 1.991 Å, I = 32; 2θ = 53.90°, d = 1.701 Å, I = 25

Structural model:
Cell: 7.9645 13.4097 18.7418 Å, 90.00 90.00 90.00°
Element x y z (fractional)
Cs (0.2249, 0.1952, 0.1594)
Cs (0.2499, 0.1305, 0.5536)
Cs (0.2501, 0.8695, 0.0536)
Cs (0.2751, 0.8048, 0.6594)
Cs (0.7249, 0.3048, 0.8406)
Cs (0.7499, 0.3695, 0.4464)
Cs (0.7501, 0.6305, 0.9464)
Cs (0.7751, 0.6952, 0.3406)
Zn (0.0121, 0.0013, 0.3473)
Zn (0.4879, 0.9987, 0.8473)
Zn (0.5121, 0.4987, 0.6527)
Zn (0.9879, 0.5013, 0.1527)
Sn (0.0021, 0.4857, 0.6499)
Sn (0.2271, 0.4358, 0.9846)
Sn (0.2390, 0.4498, 0.3186)
Sn (0.2610, 0.5502, 0.8186)
Sn (0.2729, 0.5642, 0.4846)
Sn (0.4979, 0.5143, 0.1499)
Sn (0.5021, 0.0143, 0.3501)
Sn (0.7271, 0.0642, 0.0154)
Sn (0.7390, 0.0502, 0.6814)
Sn (0.7610, 0.9498, 0.1814)
Sn (0.7729, 0.9358, 0.5154)
Sn (0.9979, 0.9857, 0.8501)
Se (0.0094, 0.1124, 0.9569)
Se (0.0102, 0.1109, 0.7428)
Se (0.0325, 0.8957, 0.2369)
Se (0.0344, 0.8834, 0.4509)
Se (0.2320, 0.6175, 0.1543)
Se (0.2368, 0.3639, 0.8556)
Se (0.2399, 0.6234, 0.9481)
Se (0.2462, 0.1263, 0.3527)
Se (0.2538, 0.8737, 0.8527)
Se (0.2601, 0.3766, 0.4481)
Se (0.2632, 0.6361, 0.3556)
Se (0.2680, 0.3825, 0.6543)
Se (0.4656, 0.1166, 0.9509)
Se (0.4675, 0.1043, 0.7369)
Se (0.4898, 0.8891, 0.2428)
Se (0.4906, 0.8876, 0.4569)
Se (0.5094, 0.3876, 0.0431)
Se (0.5102, 0.3891, 0.2572)
Se (0.5325, 0.6043, 0.7631)
Se (0.5344, 0.6166, 0.5491)
Se (0.7320, 0.8825, 0.8457)
Se (0.7368, 0.1361, 0.1444)
Se (0.7399, 0.8766, 0.0519)
Se (0.7462, 0.3737, 0.6473)
Se (0.7538, 0.6263, 0.1473)
Se (0.7601, 0.1234, 0.5519)
Se (0.7632, 0.8639, 0.6444)
Se (0.7680, 0.1175, 0.3457)
Se (0.9656, 0.3834, 0.0491)
Se (0.9675, 0.3957, 0.2631)
Se (0.9898, 0.6109, 0.7572)
Se (0.9906, 0.6124, 0.5431)

(5)
Calculated powder X-ray diffraction pattern
Compound: Nd2ErTaO6
Radiation: a wavelength of 1.5418 Å
Structure: the PBE geometry in OQMD
Lines closer than 0.1° are merged.

Main lines, by angle (2θ from 10° to 90°):
2θ = 29.07°, d = 3.071 Å, I = 56; 2θ = 30.05°, d = 2.974 Å, I = 100; 2θ = 31.74°, d = 2.819 Å, I = 34; 2θ = 32.05°, d = 2.793 Å, I = 91; 2θ = 43.58°, d = 2.077 Å, I = 44; 2θ = 45.42°, d = 1.997 Å, I = 20; 2θ = 52.15°, d = 1.754 Å, I = 23; 2θ = 53.44°, d = 1.714 Å, I = 21; 2θ = 54.23°, d = 1.691 Å, I = 17; 2θ = 54.83°, d = 1.674 Å, I = 23; 2θ = 57.96°, d = 1.591 Å, I = 14; 2θ = 62.46°, d = 1.487 Å, I = 13

Structural model:
Cell: 5.6191 5.6191 5.6590 Å, 116.28 116.28 66.27°
Element x y z (fractional)
Nd (0.2504, 0.2504, 0.2067)
Nd (0.7496, 0.7496, 0.7933)
Er (0.0000, 0.0000, 0.5000)
Ta (0.5000, 0.5000, 0.0000)
O (0.1741, 0.6969, 0.1676)
O (0.2722, 0.2722, 0.6451)
O (0.3031, 0.8259, 0.8324)
O (0.6969, 0.1741, 0.1676)
O (0.7278, 0.7278, 0.3549)
O (0.8259, 0.3031, 0.8324)

(6)
Calculated powder X-ray diffraction pattern
Compound: Hf2ZrNi4As4
Radiation: a wavelength of 1.5418 Å
Structure: the PBE geometry in OQMD
Lines closer than 0.1° are merged.

Main lines, by angle (2θ from 10° to 90°):
2θ = 18.45°, d = 4.808 Å, I = 42; 2θ = 27.19°, d = 3.280 Å, I = 23; 2θ = 36.60°, d = 2.455 Å, I = 21; 2θ = 36.93°, d = 2.434 Å, I = 70; 2θ = 37.35°, d = 2.408 Å, I = 15; 2θ = 38.71°, d = 2.326 Å, I = 100; 2θ = 39.79°, d = 2.265 Å, I = 28; 2θ = 44.17°, d = 2.051 Å, I = 20; 2θ = 44.30°, d = 2.045 Å, I = 39; 2θ = 46.61°, d = 1.949 Å, I = 20; 2θ = 47.66°, d = 1.908 Å, I = 36; 2θ = 49.40°, d = 1.845 Å, I = 12

Structural model:
Cell: 6.4138 3.8166 7.2642 Å, 90.00 90.18 90.00°
Element x y z (fractional)
Hf (0.0000, 0.0000, 0.0000)
Hf (0.4548, 0.5000, 0.5123)
Zr (0.9462, 0.5000, 0.3760)
Ni (0.1162, 0.0000, 0.6335)
Ni (0.3328, 0.5000, 0.1333)
Ni (0.6242, 0.0000, 0.2487)
Ni (0.8565, 0.5000, 0.7536)
As (0.2426, 0.5000, 0.8172)
As (0.2456, 0.0000, 0.3135)
As (0.7007, 0.5000, 0.0571)
As (0.7334, 0.0000, 0.5885)

(7)
Calculated powder X-ray diffraction pattern
Compound: La2Sc
Radiation: a wavelength of 1.5418 Å
Structure: the PBE geometry in OQMD
Lines closer than 0.1° are merged.

Main lines, by angle (2θ from 10° to 90°):
2θ = 16.62°, d = 5.334 Å, I = 63; 2θ = 32.14°, d = 2.785 Å, I = 100; 2θ = 33.61°, d = 2.667 Å, I = 78; 2θ = 39.00°, d = 2.310 Å, I = 27; 2θ = 42.66°, d = 2.119 Å, I = 18; 2θ = 51.40°, d = 1.778 Å, I = 35; 2θ = 56.34°, d = 1.633 Å, I = 35; 2θ = 59.17°, d = 1.562 Å, I = 14; 2θ = 66.35°, d = 1.409 Å, I = 12; 2θ = 67.22°, d = 1.393 Å, I = 31; 2θ = 73.16°, d = 1.294 Å, I = 8; 2θ = 79.73°, d = 1.203 Å, I = 21

Structural model:
Cell: 6.5323 6.5323 6.5323 Å, 60.00 60.00 60.00°
Element x y z (fractional)
La (0.0000, 0.0000, 0.0000)
La (0.0000, 0.0000, 0.5000)
La (0.0000, 0.5000, 0.0000)
La (0.5000, 0.0000, 0.0000)
Sc (0.3750, 0.3750, 0.3750)
Sc (0.6250, 0.6250, 0.6250)

Please write out number 7 again, unchanged.
Calculated powder X-ray diffraction pattern
Compound: La2Sc
Radiation: a wavelength of 1.5418 Å
Structure: the PBE geometry in OQMD
Lines closer than 0.1° are merged.

Main lines, by angle (2θ from 10° to 90°):
2θ = 16.62°, d = 5.334 Å, I = 63; 2θ = 32.14°, d = 2.785 Å, I = 100; 2θ = 33.61°, d = 2.667 Å, I = 78; 2θ = 39.00°, d = 2.310 Å, I = 27; 2θ = 42.66°, d = 2.119 Å, I = 18; 2θ = 51.40°, d = 1.778 Å, I = 35; 2θ = 56.34°, d = 1.633 Å, I = 35; 2θ = 59.17°, d = 1.562 Å, I = 14; 2θ = 66.35°, d = 1.409 Å, I = 12; 2θ = 67.22°, d = 1.393 Å, I = 31; 2θ = 73.16°, d = 1.294 Å, I = 8; 2θ = 79.73°, d = 1.203 Å, I = 21

Structural model:
Cell: 6.5323 6.5323 6.5323 Å, 60.00 60.00 60.00°
Element x y z (fractional)
La (0.0000, 0.0000, 0.0000)
La (0.0000, 0.0000, 0.5000)
La (0.0000, 0.5000, 0.0000)
La (0.5000, 0.0000, 0.0000)
Sc (0.3750, 0.3750, 0.3750)
Sc (0.6250, 0.6250, 0.6250)